Starting from a crystal structure in Alexandria, relaxed with PBE, the powder XRD pattern of PrGa2Cu2Ge was simulated for Cu Kα, 1.54184 Å.
No peak broadening, texture or thermal motion is included.

Principal peaks in the range 10° ≤ 2θ ≤ 80°, in order of rising 2θ:
| 2θ/deg | intensity | index |
| --- | --- | --- |
| 27.7 | 43 | 1 1 0 |
| 31.1 | 14 | 0 0 2 |
| 31.8 | 60 | 1 1 1 |
| 37.0 | 100 | 1 0 2 |
| 39.5 | 82 | 2 0 0 |
| 51.2 | 14 | 2 0 2 |
| 55.3 | 62 | 2 1 2 |
| 57.1 | 27 | 2 2 0 |
| 70.1 | 15 | 3 0 2 |
| 78.8 | 18 | 2 0 4 |

Crystal structure
Cell: 4.559 4.559 5.743 Å, 90.00 90.00 90.00°
Atoms (fractional coordinates):
Pr 0.000 0.000 0.000
Ga 0.500 0.500 0.227
Ga 0.500 0.500 0.773
Cu 0.000 0.500 0.500
Cu 0.500 0.000 0.500
Ge 0.000 0.000 0.500